Structure and theoretical powder diffractogram of TbPm2WO8 (a crystal structure in Alexandria, relaxed with GGA+U; Cu Kα (weighted mean of Kα1 and Kα2)).
No peak broadening, texture or thermal motion is included.

Cell and atoms:
```
data_TbPm2WO8
_cell_length_a 7.2665
_cell_length_b 7.3736
_cell_length_c 6.9400
_cell_angle_alpha 90.00
_cell_angle_beta 90.00
_cell_angle_gamma 90.00
_space_group_name_H-M_alt 'C m m m'
_space_group_IT_number 65
_space_group_name_Hall '-C 2 2'
loop_
_atom_site_label
_atom_site_type_symbol
_atom_site_fract_x
_atom_site_fract_y
_atom_site_fract_z
Tb1 Tb 0.0000 0.0000 0.0000
Pm1 Pm 0.0000 0.5000 0.2508
W1 W 0.0000 0.0000 0.5000
O1 O 0.0000 0.1784 0.2896
O2 O 0.1966 0.5000 0.0000
O3 O 0.2320 0.5000 0.5000
```

Peak list (6 most intense, 10° ≤ 2θ ≤ 80°, low angle first)
2θ = 24.14°, rel. 59
2θ = 24.50°, rel. 54
2θ = 31.03°, rel. 100
2θ = 34.66°, rel. 30
2θ = 47.00°, rel. 41
2θ = 47.40°, rel. 37